The following is a calculated powder XRD pattern of Nd2Mg12Au7. It was derived from DFT lattice parameters and positions (GGA-PBE), using a wavelength of 1.5418 Å.

Most intense lines, 2θ = 15–90°, low angle first:
2θ = 24.41°, I 100
2θ = 26.63°, I 37
2θ = 28.22°, I 59
2θ = 32.56°, I 70
2θ = 39.98°, I 36
2θ = 42.96°, I 57
2θ = 43.23°, I 32
2θ = 46.40°, I 30
2θ = 50.24°, I 30
2θ = 62.58°, I 52

Atomic structure:
abc: 11.1406 11.1406 4.1880
angles: 90.00 90.00 120.00
Space group P-6 (No. 174)
Inequivalent atoms, fractional coordinates:
Nd 0.0000 0.0000 0.0000 x1
Nd 0.3333 0.6667 0.5000 x1
Mg 0.0543 0.2884 0.5000 x3
Mg 0.0981 0.7137 0.0000 x3
Mg 0.3884 0.1709 0.0000 x3
Mg 0.5363 0.4264 0.5000 x3
Au 0.0861 0.4651 0.0000 x3
Au 0.2449 0.2017 0.5000 x3
Au 0.6667 0.3333 0.0000 x1